# InAsF
Calculated XRD peak list, Cu Kα (weighted mean of Kα1 and Kα2). Input: the GGA-PBE geometry in Alexandria.

Lattice parameters (Å, degrees): 7.832 7.832 4.198 90.00 90.00 90.00
Fractional coordinates of all 12 atoms:
1 In 0.190 0.261 0.000
2 In 0.261 0.810 0.500
3 In 0.739 0.190 0.500
4 In 0.810 0.739 0.000
5 As 0.154 0.481 0.500
6 As 0.481 0.846 0.000
7 As 0.519 0.154 0.000
8 As 0.846 0.519 0.500
9 F 0.074 0.821 0.000
10 F 0.179 0.074 0.500
11 F 0.821 0.926 0.500
12 F 0.926 0.179 0.000

Main lines, by intensity (10° ≤ 2θ ≤ 80°):
- 2θ = 26.65°, intensity 100.0, hkl 1 1 1
- 2θ = 42.37°, intensity 79.5, hkl 1 3 1
- 2θ = 47.11°, intensity 77.1, hkl 3 2 1
- 2θ = 22.71°, intensity 51.3, hkl 2 0 0
- 2θ = 31.24°, intensity 48.8, hkl 2 0 1
- 2θ = 34.35°, intensity 45.7, hkl 3 0 0
- 2θ = 25.43°, intensity 42.2, hkl 1 2 0
- 2θ = 43.10°, intensity 35.9, hkl 0 0 2
- 2θ = 16.00°, intensity 29.4, hkl 1 1 0
- 2θ = 33.32°, intensity 29.1, hkl 1 2 1